Cs3K4H: calculated powder X-ray diffraction pattern (Cu Ka), based on a GGA-PBE-relaxed structure.
Intensities are scaled so that the largest is 100.

```
Cs3K4H
1.0
5.3646 0.0000 0.0000
0.0000 13.7236 0.0000
0.0000 0.0000 16.6428
Cs K H
6 8 2
direct
0.2500 0.0710 0.1285
0.2500 0.2500 0.8388
0.2500 0.4290 0.1285
0.7500 0.5710 0.8715
0.7500 0.7500 0.1612
0.7500 0.9290 0.8715
0.2500 0.2500 0.3961
0.2500 0.5336 0.6122
0.2500 0.7500 0.4102
0.2500 0.9664 0.6122
0.7500 0.0336 0.3878
0.7500 0.2500 0.5898
0.7500 0.4664 0.3878
0.7500 0.7500 0.6039
0.2500 0.7500 0.5737
0.7500 0.2500 0.4263
```

Main lines, in order of falling intensity (10° ≤ 2θ ≤ 90°):
hkl, d (Å), two_theta, intensity
1 2 2, 3.768, 23.6, 100
0 3 1, 4.411, 20.1, 40
0 0 4, 4.161, 21.4, 40
0 3 2, 4.009, 22.2, 33
1 1 0, 4.996, 17.8, 26
1 1 1, 4.785, 18.5, 25
1 1 3, 3.713, 24.0, 23
0 0 3, 5.548, 16.0, 22